Starting from a DFT-relaxed cell (PBE, Alexandria), the X-ray powder pattern of Ho10Sn3Sb3 was computed for Cu Ka.
No peak broadening, texture or thermal motion is included.

Largest 10 diffraction maxima, in order of falling intensity, 10° ≤ 2θ ≤ 80°:
| d [Å] | Rel. int. | hkl |
| --- | --- | --- |
| 2.658 | 100.0 | 2 1 1 |
| 2.601 | 77.7 | 1 1 2 |
| 2.578 | 41.8 | 3 0 0 |
| 2.923 | 33.9 | 2 1 0 |
| 1.723 | 27.6 | 2 1 3 |
| 2.957 | 20.9 | 1 0 2 |
| 1.831 | 20.8 | 2 2 2 |
| 1.392 | 16.8 | 5 0 2 |
| 3.200 | 15.7 | 0 0 2 |
| 1.655 | 14.8 | 4 0 2 |

Cell and atoms:
a = 8.9288 Å, b = 8.9288 Å, c = 6.3994 Å
α = 90.00°, β = 90.00°, γ = 120.00°
Space group P-62m (No. 189)
Symmetry-distinct sites (fractional):
Ho  0.0000  0.2415  0.0000
Ho  0.0000  0.7591  0.5000
Ho  0.3333  0.6667  0.2500
Sn  0.0000  0.3928  0.5000
Sb  0.0000  0.6084  0.0000